Calculated X-ray powder pattern
Compound: Pm7Nd2Cd2
Radiation: CuKα
Structure: the GGA-PBE geometry in Alexandria
Lines closer than 0.1° are merged.

a = 7.7101 Å, b = 7.7101 Å, c = 6.6896 Å
α = 97.17°, β = 97.17°, γ = 109.94°
Element x y z (fractional)
Pm1 0.0000 0.0000 0.0000
Pm2 0.0999 0.5765 0.7929
Pm3 0.3302 0.3302 0.3854
Pm4 0.4235 0.9001 0.2071
Pm5 0.5765 0.0999 0.7929
Pm6 0.6698 0.6698 0.6146
Pm7 0.9001 0.4235 0.2071
Nd1 0.1276 0.8724 0.5000
Nd2 0.8724 0.1276 0.5000
Cd1 0.3350 0.3350 0.8954
Cd2 0.6650 0.6650 0.1046

Largest 10 diffraction maxima, by angle, 2θ = 10–90°:
d 3.418, 2θ 26.07, I 51; d 3.289, 2θ 27.12, I 33; d 3.156, 2θ 28.28, I 70; d 2.929, 2θ 30.52, I 100; d 2.917, 2θ 30.65, I 72; d 2.900, 2θ 30.83, I 60; d 2.808, 2θ 31.87, I 86; d 2.785, 2θ 32.14, I 61; d 2.549, 2θ 35.21, I 34; d 2.485, 2θ 36.15, I 52